For Na7Ni10O20, a structure optimized by DFT (GGA+U) gives the calculated powder diffraction line list in this record (a wavelength of 1.5418 Å).
No peak broadening, texture or thermal motion is included.

The 6 most intense peaks (2θ from 10° to 80°), by angle:
2θ 16.12, 5.498 Å, rel. 100.0, (0 2 -1); 2θ 32.57, 2.749 Å, rel. 15.7, (0 4 -2); 2θ 36.58, 2.456 Å, rel. 15.2, (1 1 -3); 2θ 41.27, 2.188 Å, rel. 27.3, (-1 3 1); 2θ 42.19, 2.142 Å, rel. 21.7, (0 2 -6); 2θ 42.89, 2.108 Å, rel. 23.2, (1 3 1)

Crystal structure
Lattice parameters (Å, degrees): 2.9557 11.0846 12.8962 108.11 91.35 91.33
Fractional positions:
Na  0.0000  0.0000  0.0000
Na  0.0249  0.4105  0.8278
Na  0.4857  0.2895  0.5746
Na  0.4901  0.1228  0.2359
Na  0.5099  0.8772  0.7641
Na  0.5143  0.7105  0.4254
Na  0.9751  0.5895  0.1722
Ni  0.0000  0.5000  0.5000
Ni  0.0042  0.9005  0.3014
Ni  0.0146  0.7024  0.9015
Ni  0.4820  0.4083  0.2970
Ni  0.4964  0.1901  0.8995
Ni  0.5000  0.0000  0.5000
Ni  0.5036  0.8099  0.1005
Ni  0.5180  0.5917  0.7030
Ni  0.9854  0.2976  0.0985
Ni  0.9958  0.0995  0.6986
O  0.0042  0.7142  0.7591
O  0.0262  0.0657  0.8350
O  0.0262  0.4684  0.6498
O  0.0333  0.6906  0.0430
O  0.0367  0.8757  0.4387
O  0.4667  0.4223  0.1547
O  0.4831  0.9838  0.6412
O  0.4855  0.3816  0.4343
O  0.4924  0.7819  0.2432
O  0.4941  0.8296  0.9546
O  0.5059  0.1704  0.0454
O  0.5076  0.2181  0.7568
O  0.5145  0.6184  0.5657
O  0.5169  0.0162  0.3588
O  0.5333  0.5777  0.8453
O  0.9633  0.1243  0.5613
O  0.9667  0.3094  0.9570
O  0.9738  0.5316  0.3502
O  0.9738  0.9343  0.1650
O  0.9958  0.2858  0.2409